Record 1
Computed X-ray diffraction stick pattern of PmDy5Y5 for Cu Kα, 1.54184 Å, from a DFT-relaxed cell (GGA-PBE, Alexandria).
Neutral-atom scattering factors, no anomalous dispersion.

The 10 most intense peaks (10° ≤ 2θ ≤ 90°), in order of falling intensity:
Position (°2θ), d/Å, I_rel
32.3, 2.769, 100
31.7, 2.826, 56
31.5, 2.839, 49
32.0, 2.795, 49
33.5, 2.673, 40
34.1, 2.628, 23
32.2, 2.782, 20
30.3, 2.949, 18
24.0, 3.714, 17
44.6, 2.032, 15

Atomic structure:
Lattice parameters (Å, degrees): 6.899 6.933 8.385 76.36 76.31 71.98
Sites, in units of the cell vectors:
Pm 0.000 0.000 0.000
Dy 0.000 0.500 0.000
Dy 0.153 0.136 0.359
Dy 0.351 0.754 0.717
Dy 0.649 0.246 0.283
Dy 0.847 0.864 0.641
Y 0.216 0.640 0.303
Y 0.320 0.277 0.650
Y 0.500 0.000 0.000
Y 0.680 0.723 0.350
Y 0.784 0.360 0.697

***

Record 2
Computed X-ray diffraction stick pattern of Pa2Ni2Pt3 for Cu Kα, 1.54184 Å, from a DFT-relaxed cell (GGA-PBE, Alexandria).
Neutral-atom scattering factors, no anomalous dispersion.

The 10 most intense peaks (10° ≤ 2θ ≤ 90°), in order of falling intensity:
Position (°2θ), d/Å, I_rel
33.0, 2.715, 100
38.4, 2.346, 77
46.2, 1.967, 48
33.3, 2.690, 46
43.6, 2.077, 38
31.0, 2.883, 37
45.3, 2.002, 36
55.9, 1.644, 28
64.7, 1.441, 25
74.7, 1.270, 22

Atomic structure:
Lattice parameters (Å, degrees): 8.569 8.569 8.569 152.98 151.94 39.35
Sites, in units of the cell vectors:
Pa 0.167 0.167 0.000
Pa 0.833 0.833 0.000
Ni 0.066 0.566 0.500
Ni 0.934 0.434 0.500
Pt 0.346 0.346 0.000
Pt 0.500 0.000 0.500
Pt 0.654 0.654 0.000

***

Record 3
Computed X-ray diffraction stick pattern of Tb2Y3Zn2 for Cu Kα, 1.54184 Å, from a DFT-relaxed cell (GGA-PBE, Alexandria).
Neutral-atom scattering factors, no anomalous dispersion.

The 10 most intense peaks (10° ≤ 2θ ≤ 90°), in order of falling intensity:
Position (°2θ), d/Å, I_rel
34.5, 2.599, 100
36.1, 2.488, 88
32.5, 2.755, 87
29.1, 3.066, 44
25.9, 3.437, 34
63.7, 1.462, 33
58.2, 1.585, 28
62.6, 1.485, 26
29.0, 3.078, 25
51.7, 1.768, 20

Atomic structure:
Lattice parameters (Å, degrees): 15.489 15.489 3.526 90.00 90.00 166.89
Sites, in units of the cell vectors:
Tb 0.201 0.799 0.000
Tb 0.799 0.201 0.000
Y 0.382 0.618 0.500
Y 0.500 0.500 0.500
Y 0.618 0.382 0.500
Zn 0.058 0.942 0.000
Zn 0.942 0.058 0.000

***

Record 4
Computed X-ray diffraction stick pattern of V3PbCl8 for Cu Kα, 1.54184 Å, from a DFT-relaxed cell (GGA-PBE, Alexandria).
Neutral-atom scattering factors, no anomalous dispersion.

The 10 most intense peaks (10° ≤ 2θ ≤ 90°), in order of falling intensity:
Position (°2θ), d/Å, I_rel
14.1, 6.302, 100
32.9, 2.726, 52
47.5, 1.915, 41
27.3, 3.270, 30
33.3, 2.690, 26
27.4, 3.253, 22
23.2, 3.829, 19
36.2, 2.481, 18
43.0, 2.103, 17
16.3, 5.451, 16

Atomic structure:
Lattice parameters (Å, degrees): 7.654 7.654 7.763 120.37 120.37 60.02
Sites, in units of the cell vectors:
V 0.000 0.000 0.000
V 0.000 0.500 0.000
V 0.500 0.000 0.000
Pb 0.500 0.500 0.000
Cl 0.202 0.763 0.222
Cl 0.237 0.237 0.206
Cl 0.237 0.237 0.778
Cl 0.237 0.798 0.778
Cl 0.763 0.202 0.222
Cl 0.763 0.763 0.222
Cl 0.763 0.763 0.794
Cl 0.798 0.237 0.778